Diffraction record for PrPu8Rh6. The PXRD pattern is simulated, not measured: it uses the GGA-PBE geometry in Alexandria and CuKα.

Most intense lines, 2θ = 10–90°, sorted by position:
Position (°2θ)  I_rel
10.17  42
20.42  21
30.13  100
35.14  68
42.34  84
50.08  52
54.63  18
59.56  17

Cell and atoms:
```
15
Lattice="3.155 1.821 8.698 -3.155 1.821 8.698 0.000 -3.643 8.698" Properties=species:S:1:pos:R:3 pbc="T T T"
Pr 0.000 0.000 0.000
Pu -2.139 0.007 12.448
Pu -1.075 -1.849 13.647
Pu 0.000 0.000 8.167
Pu 1.063 -1.856 12.448
Pu -1.063 1.856 13.647
Pu 0.000 0.000 17.928
Pu 1.075 1.849 12.448
Pu 2.139 -0.007 13.647
Rh -0.844 -1.449 10.543
Rh -1.677 0.006 15.552
Rh -0.833 1.455 10.543
Rh 0.833 -1.455 15.552
Rh 1.677 -0.006 10.543
Rh 0.844 1.449 15.552
```



Diffraction record for SmThGeOs. The PXRD pattern is simulated, not measured: it uses the GGA-PBE geometry in Alexandria and CuKα.

Most intense lines, 2θ = 10–90°, sorted by position:
Position (°2θ)  I_rel
15.44  29
31.16  33
31.80  28
31.93  100
38.52  18
39.06  66
43.61  23
45.04  22

Cell and atoms:
```
4
Lattice="4.026 0.000 0.000 0.000 2.075 5.741 0.000 -2.075 5.741" Properties=species:S:1:pos:R:3 pbc="T T T"
Sm 0.000 0.000 0.000
Th 2.013 0.000 3.157
Ge 2.013 0.000 6.564
Os 0.000 0.000 8.357
```



Diffraction record for Ba2Sb4Pd3. The PXRD pattern is simulated, not measured: it uses the GGA-PBE geometry in Alexandria and CuKα.

Most intense lines, 2θ = 10–90°, sorted by position:
Position (°2θ)  I_rel
12.40  20
28.12  29
28.44  38
33.63  100
37.95  42
53.19  18
53.37  26
57.27  21

Cell and atoms:
```
9
Lattice="0.000 5.599 7.136 3.173 0.000 7.136 3.173 5.599 0.000" Properties=species:S:1:pos:R:3 pbc="T T T"
Ba 3.173 5.599 2.020
Ba 3.173 5.599 12.251
Sb 3.173 3.758 5.180
Sb 3.173 3.758 9.091
Sb 3.173 7.441 5.180
Sb 3.173 7.441 9.091
Pd 1.587 2.800 0.000
Pd 1.587 2.800 7.136
Pd 3.173 5.599 7.136
```